[1]
Co2NiO6: simulated X-ray diffraction stick pattern (Cu Kα, 1.54184 Å), based on DFT lattice parameters and positions (GGA+U).
Peak positions follow from Bragg's law for the DFT cell and can differ from measured ones.

Structure:
Cell lengths 8.4804, 4.8844, 9.5825 Å; angles 90.00, 90.00, 90.00 degrees
Space group Cmce (No. 64)
Unique sites:
Co  0.1666  0.0000  0.0000
Ni  0.0000  0.0000  0.5000
O  0.0000  0.1675  0.0980
O  0.1661  0.1661  0.4020

Principal peaks in the range 2θ from 15° to 90°, sorted by position:
| Position (°2θ) | intensity | hkl |
| --- | --- | --- |
| 18.52 | 100 | 0 0 2 |
| 36.80 | 7 | 0 2 0 |
| 37.96 | 29 | 3 1 1 |
| 41.48 | 20 | 0 2 2 |
| 46.77 | 28 | 3 1 3 |
| 53.58 | 11 | 0 2 4 |
| 61.46 | 14 | 3 1 5 |
| 67.05 | 13 | 3 3 1 |
| 70.44 | 4 | 0 2 6 |
| 80.38 | 5 | 3 1 7 |

***

[2]
Li2NiO2F: simulated X-ray diffraction stick pattern (Cu Kα, 1.54184 Å), based on DFT lattice parameters and positions (GGA+U).
Peak positions follow from Bragg's law for the DFT cell and can differ from measured ones.

Structure:
Cell lengths 5.0205, 5.0209, 9.1639 Å; angles 101.27, 100.00, 108.91 degrees
Space group P1 (No. 1)
Unique sites:
Li  0.0000  0.0000  0.0000
Li  0.0588  0.5831  0.1623
Li  0.1343  0.1597  0.3366
Li  0.2375  0.7450  0.4991
Li  0.4195  0.9451  0.8370
Li  0.6648  0.6644  0.3372
Li  0.8170  0.8441  0.6608
Li  0.9155  0.4135  0.8374
Ni  0.3259  0.3218  0.6599
Ni  0.4992  0.5127  0.9977
Ni  0.5811  0.0771  0.1598
Ni  0.7287  0.2419  0.4978
O  0.2035  0.2190  0.8320
O  0.2862  0.7647  0.0076
O  0.4861  0.4644  0.5073
O  0.5821  0.1123  0.6576
O  0.7249  0.2796  0.0062
O  0.7885  0.8183  0.1576
O  0.8564  0.3722  0.3316
O  0.9697  0.0238  0.5063
F  0.0985  0.6032  0.6672
F  0.3062  0.3128  0.1671
F  0.3758  0.8841  0.3310
F  0.6919  0.6985  0.8311

Principal peaks in the range 2θ from 15° to 90°, sorted by position:
| Position (°2θ) | intensity | hkl |
| --- | --- | --- |
| 19.37 | 100 | 0 1 -1 |
| 20.44 | 16 | 0 0 2 |
| 23.94 | 11 | 1 -1 1 |
| 24.21 | 8 | -1 1 1 |
| 31.78 | 15 | 1 0 2 |
| 32.04 | 13 | 1 0 -3 |
| 44.05 | 54 | 1 1 2 |
| 44.35 | 27 | 2 -2 0 |
| 63.93 | 15 | 1 -3 4 |
| 64.66 | 16 | -1 3 2 |

***

[3]
Li6Cr3SbP6O24: simulated X-ray diffraction stick pattern (Cu Kα, 1.54184 Å), based on DFT lattice parameters and positions (GGA+U).
Peak positions follow from Bragg's law for the DFT cell and can differ from measured ones.

Structure:
Cell lengths 8.4732, 8.5224, 8.5249 Å; angles 63.33, 63.48, 63.22 degrees
Space group P1 (No. 1)
Unique sites:
Li  0.0000  0.0000  0.0000
Li  0.0701  0.5036  0.9381
Li  0.2660  0.8646  0.6514
Li  0.5206  0.6993  0.2955
Li  0.7082  0.3713  0.1576
Li  0.8806  0.1485  0.4803
Cr  0.3809  0.0126  0.7948
Cr  0.6029  0.2220  0.0075
Cr  0.8907  0.5200  0.3071
Sb  0.0916  0.7120  0.5031
P  0.1939  0.1232  0.1898
P  0.3105  0.6221  0.0919
P  0.5016  0.4037  0.6097
P  0.6775  0.9368  0.4117
P  0.7850  0.8248  0.9143
P  0.9960  0.3080  0.7191
O  0.0148  0.2987  0.2033
O  0.0603  0.4474  0.7255
O  0.1269  0.5798  0.1554
O  0.1449  0.1138  0.7296
O  0.1623  0.9797  0.3904
O  0.1983  0.0608  0.0434
O  0.2992  0.7850  0.9099
O  0.3263  0.6782  0.2327
O  0.3547  0.6055  0.5776
O  0.3691  0.1646  0.1366
O  0.4305  0.2545  0.6400
O  0.4864  0.4577  0.0638
O  0.4902  0.9406  0.5654
O  0.5681  0.3639  0.7647
O  0.6191  0.8743  0.8574
O  0.6644  0.1122  0.2421
O  0.6681  0.4163  0.4216
O  0.7369  0.7585  0.3632
O  0.7797  0.9790  0.9646
O  0.7876  0.6415  0.0846
O  0.8211  0.9425  0.4733
O  0.8382  0.2808  0.9048
O  0.9467  0.3656  0.5437
O  0.9823  0.7773  0.7672

Principal peaks in the range 2θ from 15° to 90°, sorted by position:
| Position (°2θ) | intensity | hkl |
| --- | --- | --- |
| 19.88 | 66 | 0 1 -1 |
| 20.90 | 72 | 1 1 2 |
| 21.02 | 36 | 2 1 1 |
| 23.83 | 100 | 1 2 0 |
| 23.97 | 50 | 2 0 1 |
| 28.98 | 32 | 0 2 2 |
| 33.14 | 30 | 1 3 2 |
| 33.20 | 26 | 2 1 3 |
| 34.84 | 42 | -2 1 1 |
| 35.36 | 25 | 0 1 3 |